Entry 1:
The following is a calculated XRD peak list of Cd3Ag7Sn2. It was derived from a crystal structure in Alexandria, relaxed with PBE, using Cu Kα (weighted mean of Kα1 and Kα2).
Lines closer than 0.1° are merged.

```
data_Cd3Ag7Sn2
_chemical_formula_sum 'Cd3 Ag7 Sn2'
_cell_length_a 5.9215
_cell_length_b 6.0806
_cell_length_c 7.1664
_cell_angle_alpha 91.69
_cell_angle_beta 98.14
_cell_angle_gamma 106.33
_space_group_name_H-M_alt 'P -1'
_space_group_IT_number 2
loop_
_space_group_symop_operation_xyz
'x,y,z'
'-x,-y,-z'
loop_
_atom_site_label
_atom_site_fract_x
_atom_site_fract_y
_atom_site_fract_z
_atom_site_occupancy
Cd1 0.0000 0.0000 0.0000 1
Cd2 0.3135 0.5813 0.3679 1
Ag1 0.0000 0.5000 0.0000 1
Ag2 0.1375 0.7993 0.6702 1
Ag3 0.1641 0.2960 0.6908 1
Ag4 0.3205 0.0781 0.3697 1
Sn1 0.4820 0.7418 0.9753 1
```

Main lines, in order of falling intensity (2θ = 10–90°):
(2 0 1), 36.2 deg, d = 2.479 Å, intensity 100; (2 0 -2), 37.7 deg, d = 2.388 Å, intensity 78; (0 0 3), 38.2 deg, d = 2.358 Å, intensity 72; (1 2 -1), 39.3 deg, d = 2.293 Å, intensity 68; (1 -2 2), 39.9 deg, d = 2.259 Å, intensity 60; (-1 2 1), 32.7 deg, d = 2.735 Å, intensity 59

---

Entry 2:
The following is a calculated XRD peak list of Cd6Ag3Sn. It was derived from a crystal structure in Alexandria, relaxed with PBE, using Cu Kα (weighted mean of Kα1 and Kα2).
Lines closer than 0.1° are merged.

```
data_Cd6Ag3Sn
_chemical_formula_sum 'Cd24 Ag12 Sn4'
_cell_length_a 11.7228
_cell_length_b 12.8545
_cell_length_c 5.9477
_cell_angle_alpha 90.00
_cell_angle_beta 90.00
_cell_angle_gamma 90.00
_space_group_name_H-M_alt 'C m c 21'
_space_group_IT_number 36
loop_
_space_group_symop_operation_xyz
'x,y,z'
'-x,-y,z+1/2'
'-x,y,z'
'x,-y,z+1/2'
'x+1/2,y+1/2,z'
'-x+1/2,-y+1/2,z+1/2'
'-x+1/2,y+1/2,z'
'x+1/2,-y+1/2,z+1/2'
loop_
_atom_site_label
_atom_site_fract_x
_atom_site_fract_y
_atom_site_fract_z
_atom_site_occupancy
Cd1 0.0000 0.0338 0.0000 1
Cd2 0.0000 0.3035 0.9161 1
Cd3 0.2025 0.1951 0.1607 1
Cd4 0.2182 0.4977 0.9132 1
Ag1 0.0000 0.4983 0.6646 1
Ag2 0.1314 0.1432 0.6625 1
Sn1 0.0000 0.3010 0.4129 1
```

Main lines, in order of falling intensity (2θ = 10–90°):
(2 2 2), 36.7 deg, d = 2.452 Å, intensity 100; (3 3 0), 31.0 deg, d = 2.887 Å, intensity 79; (1 3 2), 37.6 deg, d = 2.392 Å, intensity 63; (3 1 2), 38.7 deg, d = 2.327 Å, intensity 36; (4 4 0), 41.7 deg, d = 2.165 Å, intensity 35; (5 1 1), 42.0 deg, d = 2.150 Å, intensity 27

---

Entry 3:
The following is a calculated XRD peak list of Cd4Ag2Sn. It was derived from a crystal structure in Alexandria, relaxed with PBE, using Cu Kα (weighted mean of Kα1 and Kα2).
Lines closer than 0.1° are merged.

```
data_Cd4Ag2Sn
_chemical_formula_sum 'Cd4 Ag2 Sn1'
_cell_length_a 5.5092
_cell_length_b 5.7314
_cell_length_c 5.7774
_cell_angle_alpha 118.90
_cell_angle_beta 99.68
_cell_angle_gamma 90.74
_space_group_name_H-M_alt 'P -1'
_space_group_IT_number 2
loop_
_space_group_symop_operation_xyz
'x,y,z'
'-x,-y,-z'
loop_
_atom_site_label
_atom_site_fract_x
_atom_site_fract_y
_atom_site_fract_z
_atom_site_occupancy
Cd1 0.0732 0.2642 0.2647 1
Cd2 0.2650 0.8142 0.3813 1
Ag1 0.2615 0.3812 0.8297 1
Sn1 0.5000 0.0000 0.0000 1
```

Main lines, in order of falling intensity (2θ = 10–90°):
(1 1 1), 38.0 deg, d = 2.367 Å, intensity 100; (2 1 -1), 36.4 deg, d = 2.466 Å, intensity 98; (1 0 -2), 36.8 deg, d = 2.444 Å, intensity 58; (2 -1 1), 39.5 deg, d = 2.283 Å, intensity 37; (2 -1 0), 36.1 deg, d = 2.491 Å, intensity 22; (1 2 -1), 35.6 deg, d = 2.520 Å, intensity 17

---

Entry 4:
The following is a calculated XRD peak list of CdAg9Sn2. It was derived from a crystal structure in Alexandria, relaxed with PBE, using Cu Kα (weighted mean of Kα1 and Kα2).
Lines closer than 0.1° are merged.

```
data_CdAg9Sn2
_chemical_formula_sum 'Cd1 Ag9 Sn2'
_cell_length_a 4.9845
_cell_length_b 7.1353
_cell_length_c 7.4636
_cell_angle_alpha 66.67
_cell_angle_beta 78.49
_cell_angle_gamma 72.57
_space_group_name_H-M_alt 'P -1'
_space_group_IT_number 2
loop_
_space_group_symop_operation_xyz
'x,y,z'
'-x,-y,-z'
loop_
_atom_site_label
_atom_site_fract_x
_atom_site_fract_y
_atom_site_fract_z
_atom_site_occupancy
Cd1 0.0000 0.0000 0.0000 1
Ag1 0.0802 0.2416 0.5870 1
Ag2 0.2376 0.7583 0.7414 1
Ag3 0.3443 0.9972 0.3344 1
Ag4 0.4157 0.2428 0.9140 1
Ag5 0.5000 0.5000 0.5000 1
Sn1 0.1785 0.4888 0.1776 1
```

Main lines, in order of falling intensity (2θ = 10–90°):
(1 3 2), 39.6 deg, d = 2.273 Å, intensity 100; (2 1 1), 36.4 deg, d = 2.469 Å, intensity 64; (0 1 3), 36.9 deg, d = 2.438 Å, intensity 62; (-1 2 1), 37.1 deg, d = 2.423 Å, intensity 61; (1 2 -1), 37.2 deg, d = 2.414 Å, intensity 60; (2 0 -2), 48.8 deg, d = 1.866 Å, intensity 27

---

Entry 5:
The following is a calculated XRD peak list of Cd2Ag2Sn. It was derived from a crystal structure in Alexandria, relaxed with PBE, using Cu Kα (weighted mean of Kα1 and Kα2).
Lines closer than 0.1° are merged.

```
data_Cd2Ag2Sn
_chemical_formula_sum 'Cd4 Ag4 Sn2'
_cell_length_a 5.2497
_cell_length_b 5.9907
_cell_length_c 8.1226
_cell_angle_alpha 68.37
_cell_angle_beta 71.19
_cell_angle_gamma 64.92
_space_group_name_H-M_alt 'P -1'
_space_group_IT_number 2
loop_
_space_group_symop_operation_xyz
'x,y,z'
'-x,-y,-z'
loop_
_atom_site_label
_atom_site_fract_x
_atom_site_fract_y
_atom_site_fract_z
_atom_site_occupancy
Cd1 0.0241 0.2545 0.3543 1
Cd2 0.1863 0.7351 0.2585 1
Ag1 0.2250 0.2725 0.9429 1
Ag2 0.4268 0.2557 0.5513 1
Sn1 0.3525 0.7899 0.8471 1
```

Main lines, in order of falling intensity (2θ = 10–90°):
(-1 1 2), 38.1 deg, d = 2.362 Å, intensity 100; (0 2 0), 34.3 deg, d = 2.612 Å, intensity 88; (1 0 3), 37.7 deg, d = 2.384 Å, intensity 57; (1 1 -2), 38.0 deg, d = 2.370 Å, intensity 54; (1 2 3), 38.4 deg, d = 2.346 Å, intensity 53; (2 2 1), 38.6 deg, d = 2.330 Å, intensity 46

---

Entry 6:
The following is a calculated XRD peak list of Cd5AgSn. It was derived from a crystal structure in Alexandria, relaxed with PBE, using Cu Kα (weighted mean of Kα1 and Kα2).
Lines closer than 0.1° are merged.

```
data_Cd5AgSn
_chemical_formula_sum 'Cd20 Ag4 Sn4'
_cell_length_a 8.2583
_cell_length_b 8.8840
_cell_length_c 9.2230
_cell_angle_alpha 90.00
_cell_angle_beta 90.00
_cell_angle_gamma 90.00
_space_group_name_H-M_alt 'I m m a'
_space_group_IT_number 74
_space_group_name_Hall '-I 2b 2'
loop_
_atom_site_label
_atom_site_fract_x
_atom_site_fract_y
_atom_site_fract_z
_atom_site_occupancy
Cd1 0.0000 0.2500 0.2438 1
Cd2 0.1974 0.2500 0.5090 1
Cd3 0.2500 0.0042 0.7500 1
Ag1 0.0000 0.2500 0.7710 1
Sn1 0.0000 0.0000 0.0000 1
```

Main lines, in order of falling intensity (2θ = 10–90°):
(2 2 2), 35.5 deg, d = 2.529 Å, intensity 100; (0 0 4), 39.1 deg, d = 2.306 Å, intensity 21; (0 4 0), 40.6 deg, d = 2.221 Å, intensity 20; (1 2 1), 24.7 deg, d = 3.601 Å, intensity 14; (0 4 4), 57.6 deg, d = 1.600 Å, intensity 13; (2 6 2), 70.6 deg, d = 1.334 Å, intensity 13

---

Entry 7:
The following is a calculated XRD peak list of Cd4Ag4Sn. It was derived from a crystal structure in Alexandria, relaxed with PBE, using Cu Kα (weighted mean of Kα1 and Kα2).
Lines closer than 0.1° are merged.

```
data_Cd4Ag4Sn
_chemical_formula_sum 'Cd8 Ag8 Sn2'
_cell_length_a 9.4422
_cell_length_b 9.4422
_cell_length_c 4.1076
_cell_angle_alpha 90.00
_cell_angle_beta 90.00
_cell_angle_gamma 90.00
_space_group_name_H-M_alt 'I 4/m m m'
_space_group_IT_number 139
_space_group_name_Hall '-I 4 2'
loop_
_atom_site_label
_atom_site_fract_x
_atom_site_fract_y
_atom_site_fract_z
_atom_site_occupancy
Cd1 0.0000 0.3286 0.0000 1
Ag1 0.1709 0.1709 0.5000 1
Sn1 0.0000 0.0000 0.0000 1
```

Main lines, in order of falling intensity (2θ = 10–90°):
(3 0 1), 35.9 deg, d = 2.498 Å, intensity 100; (3 3 0), 40.5 deg, d = 2.226 Å, intensity 35; (6 3 1), 70.8 deg, d = 1.332 Å, intensity 25; (3 3 2), 61.4 deg, d = 1.509 Å, intensity 20; (0 0 2), 44.1 deg, d = 2.054 Å, intensity 14; (6 0 0), 58.7 deg, d = 1.574 Å, intensity 11

---

Entry 8:
The following is a calculated XRD peak list of SrCd2AgSn. It was derived from a crystal structure in Alexandria, relaxed with PBE, using Cu Kα (weighted mean of Kα1 and Kα2).
Lines closer than 0.1° are merged.

```
data_SrCd2AgSn
_chemical_formula_sum 'Sr2 Cd4 Ag2 Sn2'
_cell_length_a 4.6967
_cell_length_b 4.7410
_cell_length_c 12.1005
_cell_angle_alpha 90.00
_cell_angle_beta 90.00
_cell_angle_gamma 90.00
_space_group_name_H-M_alt 'I m m 2'
_space_group_IT_number 44
loop_
_space_group_symop_operation_xyz
'x,y,z'
'-x,-y,z'
'-x,y,z'
'x,-y,z'
'x+1/2,y+1/2,z+1/2'
'-x+1/2,-y+1/2,z+1/2'
'-x+1/2,y+1/2,z+1/2'
'x+1/2,-y+1/2,z+1/2'
loop_
_atom_site_label
_atom_site_fract_x
_atom_site_fract_y
_atom_site_fract_z
_atom_site_occupancy
Sr1 0.0000 0.0000 0.0000 1
Cd1 0.0000 0.0000 0.3793 1
Cd2 0.0000 0.5000 0.2490 1
Ag1 0.0000 0.5000 0.7410 1
Sn1 0.0000 0.0000 0.6122 1
```

Main lines, in order of falling intensity (2θ = 10–90°):
(1 1 2), 30.6 deg, d = 2.922 Å, intensity 100; (1 1 4), 40.2 deg, d = 2.241 Å, intensity 55; (0 2 0), 38.0 deg, d = 2.370 Å, intensity 36; (2 0 0), 38.3 deg, d = 2.348 Å, intensity 35; (0 1 5), 41.9 deg, d = 2.154 Å, intensity 31; (1 0 3), 29.2 deg, d = 3.060 Å, intensity 29

---

Entry 9:
The following is a calculated XRD peak list of CdAgSn2Te4. It was derived from a crystal structure in Alexandria, relaxed with PBE, using Cu Kα (weighted mean of Kα1 and Kα2).
Lines closer than 0.1° are merged.

```
data_CdAgSn2Te4
_chemical_formula_sum 'Cd1 Ag1 Sn2 Te4'
_cell_length_a 7.5340
_cell_length_b 4.3712
_cell_length_c 7.5728
_cell_angle_alpha 90.00
_cell_angle_beta 109.96
_cell_angle_gamma 90.00
_space_group_name_H-M_alt 'P 1 2/m 1'
_space_group_IT_number 10
loop_
_space_group_symop_operation_xyz
'x,y,z'
'-x,-y,-z'
'-x,y,-z'
'x,-y,z'
loop_
_atom_site_label
_atom_site_fract_x
_atom_site_fract_y
_atom_site_fract_z
_atom_site_occupancy
Cd1 0.0000 0.0000 0.0000 1
Ag1 0.0000 0.5000 0.5000 1
Sn1 0.5000 0.0000 0.5000 1
Sn2 0.5000 0.5000 0.0000 1
Te1 0.2366 0.0000 0.7428 1
Te2 0.2389 0.5000 0.2478 1
```

Main lines, in order of falling intensity (2θ = 10–90°):
(1 1 1), 29.0 deg, d = 3.078 Å, intensity 100; (0 2 0), 41.3 deg, d = 2.186 Å, intensity 58; (2 0 -2), 28.9 deg, d = 3.093 Å, intensity 51; (3 1 -1), 41.5 deg, d = 2.177 Å, intensity 37; (1 3 1), 67.9 deg, d = 1.380 Å, intensity 26; (2 2 -2), 51.2 deg, d = 1.785 Å, intensity 20

---

Entry 10:
The following is a calculated XRD peak list of Zn2CdAg7Sn2. It was derived from a crystal structure in Alexandria, relaxed with PBE, using Cu Kα (weighted mean of Kα1 and Kα2).
Lines closer than 0.1° are merged.

```
data_Zn2CdAg7Sn2
_chemical_formula_sum 'Zn4 Cd2 Ag14 Sn4'
_cell_length_a 5.8460
_cell_length_b 5.9844
_cell_length_c 13.3045
_cell_angle_alpha 90.00
_cell_angle_beta 90.28
_cell_angle_gamma 90.00
_space_group_name_H-M_alt 'C 1 2/m 1'
_space_group_IT_number 12
loop_
_space_group_symop_operation_xyz
'x,y,z'
'-x,-y,-z'
'-x,y,-z'
'x,-y,z'
'x+1/2,y+1/2,z'
'-x+1/2,-y+1/2,-z'
'-x+1/2,y+1/2,-z'
'x+1/2,-y+1/2,z'
loop_
_atom_site_label
_atom_site_fract_x
_atom_site_fract_y
_atom_site_fract_z
_atom_site_occupancy
Zn1 0.0010 0.0000 0.1844 1
Cd1 0.0000 0.5000 0.5000 1
Ag1 0.0000 0.0000 0.5000 1
Ag2 0.2378 0.0000 0.9998 1
Ag3 0.2496 0.2500 0.3383 1
Sn1 0.0007 0.5000 0.1784 1
```

Main lines, in order of falling intensity (2θ = 10–90°):
(2 0 -3), 36.7 deg, d = 2.446 Å, intensity 100; (2 0 3), 36.9 deg, d = 2.435 Å, intensity 98; (0 2 3), 36.2 deg, d = 2.480 Å, intensity 87; (0 0 6), 40.7 deg, d = 2.217 Å, intensity 70; (2 2 0), 43.3 deg, d = 2.091 Å, intensity 55; (0 2 4), 40.6 deg, d = 2.225 Å, intensity 40

---

Entry 11:
The following is a calculated XRD peak list of SrCd2Ag9. It was derived from a crystal structure in Alexandria, relaxed with PBE, using Cu Kα (weighted mean of Kα1 and Kα2).
Lines closer than 0.1° are merged.

```
data_SrCd2Ag9
_chemical_formula_sum 'Sr3 Cd6 Ag27'
_cell_length_a 5.7150
_cell_length_b 5.7150
_cell_length_c 26.9207
_cell_angle_alpha 90.00
_cell_angle_beta 90.00
_cell_angle_gamma 120.00
_space_group_name_H-M_alt 'R -3 m'
_space_group_IT_number 166
_space_group_name_Hall '-R 3 2"'
loop_
_atom_site_label
_atom_site_fract_x
_atom_site_fract_y
_atom_site_fract_z
_atom_site_occupancy
Sr1 0.0000 0.0000 0.0000 1
Cd1 0.0000 0.0000 0.1456 1
Ag1 0.0000 0.0000 0.3340 1
Ag2 0.0000 0.0000 0.5000 1
Ag3 0.0058 0.5029 0.9136 1
```

Main lines, in order of falling intensity (2θ = 10–90°):
(1 1 6), 37.3 deg, d = 2.410 Å, intensity 100; (0 0 12), 40.1 deg, d = 2.247 Å, intensity 61; (0 2 1), 36.5 deg, d = 2.464 Å, intensity 27; (2 2 0), 65.3 deg, d = 1.429 Å, intensity 24; (0 3 6), 59.7 deg, d = 1.548 Å, intensity 24; (1 1 0), 31.3 deg, d = 2.857 Å, intensity 23

---

Entry 12:
The following is a calculated XRD peak list of Sr2Cd3Ag6. It was derived from a crystal structure in Alexandria, relaxed with PBE, using Cu Kα (weighted mean of Kα1 and Kα2).
Lines closer than 0.1° are merged.

```
data_Sr2Cd3Ag6
_chemical_formula_sum 'Sr4 Cd6 Ag12'
_cell_length_a 10.1615
_cell_length_b 12.8469
_cell_length_c 4.3769
_cell_angle_alpha 90.00
_cell_angle_beta 90.00
_cell_angle_gamma 90.00
_space_group_name_H-M_alt 'C m m m'
_space_group_IT_number 65
_space_group_name_Hall '-C 2 2'
loop_
_atom_site_label
_atom_site_fract_x
_atom_site_fract_y
_atom_site_fract_z
_atom_site_occupancy
Sr1 0.0000 0.1824 0.0000 1
Cd1 0.0000 0.5000 0.5000 1
Cd2 0.1948 0.5000 0.0000 1
Ag1 0.1312 0.0000 0.5000 1
Ag2 0.1761 0.3361 0.5000 1
```

Main lines, in order of falling intensity (2θ = 10–90°):
(3 3 1), 39.7 deg, d = 2.271 Å, intensity 100; (2 2 1), 30.3 deg, d = 2.947 Å, intensity 97; (1 3 1), 30.5 deg, d = 2.931 Å, intensity 84; (3 3 0), 33.7 deg, d = 2.657 Å, intensity 67; (0 0 2), 41.3 deg, d = 2.188 Å, intensity 55; (0 6 0), 42.2 deg, d = 2.141 Å, intensity 49